Dy2MgSe4: calculated XRD peak list (Cu Kα), based on a PBE-relaxed structure.
No peak broadening, texture or thermal motion is included.

Cell and atoms:
```
Dy2MgSe4
1.0
14.1870 0.0000 0.0000
0.0000 8.2597 0.0000
0.0000 0.0000 6.8455
Dy Mg Se
8 4 16
Cartesian
0.0000 0.0000 0.0000
0.0000 4.1299 0.0000
3.3273 2.0649 3.4020
3.7662 6.1948 6.8248
7.0935 0.0000 3.4228
7.0935 4.1299 3.4228
10.4208 2.0649 0.0207
10.8596 6.1948 3.4435
1.3126 6.1948 3.9817
5.7809 2.0649 0.5589
8.4060 6.1948 6.2866
12.8744 2.0649 2.8638
1.0352 2.0649 1.7104
1.3012 6.1948 1.4462
2.4027 4.1771 5.1989
2.4027 8.2125 5.1989
4.6908 0.0472 1.7761
4.6908 4.0826 1.7761
5.7923 2.0649 4.8690
6.0583 6.1948 5.1332
8.1287 2.0649 1.7123
8.3946 6.1948 1.9766
9.4962 4.1771 5.0694
9.4962 8.2125 5.0694
11.7843 0.0472 1.6467
11.7843 4.0826 1.6467
12.8858 2.0649 5.3994
13.1517 6.1948 5.1351
```

Largest 10 diffraction maxima, sorted by position, 10 to 80 degrees two-theta:
(1 0 1), 2θ 14.37, rel. 46; (1 1 1), 2θ 17.95, rel. 65; (3 0 1), 2θ 22.86, rel. 29; (1 2 1), 2θ 25.97, rel. 36; (2 2 1), 2θ 28.20, rel. 59; (4 0 1), 2θ 28.34, rel. 31; (2 2 2), 2θ 36.37, rel. 100; (4 0 2), 2θ 36.48, rel. 42; (0 4 0), 2θ 43.84, rel. 29; (6 2 0), 2θ 44.13, rel. 58